Record 1
# CdIr
Calculated powder X-ray diffraction pattern, a wavelength of 1.5418 Å. Input: a DFT-relaxed cell (PBE, Alexandria).

Cell and atoms:
```
data_CdIr
_chemical_formula_sum 'Cd6 Ir6'
_space_group_name_H-M_alt 'R -3 m'
_space_group_IT_number 166
_space_group_name_Hall '-R 3 2"'
_cell_length_a 2.8757
_cell_length_b 2.8757
_cell_length_c 28.8620
_cell_angle_alpha 90.00
_cell_angle_beta 90.00
_cell_angle_gamma 120.00
loop_
_atom_site_label
_atom_site_fract_x
_atom_site_fract_y
_atom_site_fract_z
Cd1 0.0000 0.0000 0.1190
Ir1 0.0000 0.0000 0.3693
```

Main lines, by angle (2θ = 10–80°):
hkl, d_spacing, I (rel.)
0 0 12, 2.405, 30
1 0 4, 2.354, 100
1 0 7, 2.132, 9
0 1 8, 2.050, 62
0 0 15, 1.924, 5
0 1 11, 1.806, 9
1 0 16, 1.461, 16
1 1 0, 1.438, 21
1 0 19, 1.297, 6
0 1 20, 1.249, 8
1 1 12, 1.234, 21
0 2 4, 1.227, 12

Record 2
# Co4Ni7
Calculated powder X-ray diffraction pattern, a wavelength of 1.5418 Å. Input: a DFT-relaxed cell (PBE, Alexandria).

Cell and atoms:
```
data_Co4Ni7
_chemical_formula_sum 'Co4 Ni7'
_space_group_name_H-M_alt 'P -6 m 2'
_space_group_IT_number 187
_space_group_name_Hall 'P -6 2'
_cell_length_a 7.7337
_cell_length_b 7.7337
_cell_length_c 2.4429
_cell_angle_alpha 90.00
_cell_angle_beta 90.00
_cell_angle_gamma 120.00
loop_
_atom_site_label
_atom_site_fract_x
_atom_site_fract_y
_atom_site_fract_z
Co1 0.0000 0.0000 0.0000
Co2 0.5072 0.0144 0.5000
Ni1 0.1571 0.3142 0.5000
Ni2 0.3333 0.6667 0.0000
Ni3 0.3600 0.1800 0.0000
```

Main lines, by angle (2θ = 10–80°):
hkl, d_spacing, I (rel.)
1 0 0, 6.698, 8
1 1 0, 3.867, 5
2 1 0, 2.531, 15
1 0 1, 2.295, 4
1 1 1, 2.065, 20
2 0 1, 1.974, 82
2 2 0, 1.933, 100
2 1 1, 1.758, 18
3 0 1, 1.648, 10
4 0 1, 1.381, 21
4 1 1, 1.254, 7
0 0 2, 1.221, 7

Record 3
# DyGa6Pt3
Calculated powder X-ray diffraction pattern, a wavelength of 1.5418 Å. Input: a DFT-relaxed cell (PBE, Alexandria).

Cell and atoms:
```
data_DyGa6Pt3
_chemical_formula_sum 'Dy2 Ga12 Pt6'
_space_group_name_H-M_alt 'P 1 21/m 1'
_space_group_IT_number 11
_space_group_name_Hall '-P 2yb'
_cell_length_a 8.536
_cell_length_b 4.330
_cell_length_c 9.633
_cell_angle_alpha 90.00
_cell_angle_beta 97.17
_cell_angle_gamma 90.00
loop_
_atom_site_label
_atom_site_fract_x
_atom_site_fract_y
_atom_site_fract_z
Dy1 0.071 0.250 0.263
Ga1 0.107 0.250 0.600
Ga2 0.128 0.750 0.031
Ga3 0.290 0.750 0.766
Ga4 0.317 0.750 0.266
Ga5 0.411 0.250 0.449
Ga6 0.451 0.250 0.905
Pt1 0.153 0.250 0.883
Pt2 0.210 0.750 0.499
Pt3 0.407 0.250 0.162
```

Main lines, by angle (2θ = 10–80°):
hkl, d_spacing, I (rel.)
2 0 1, 3.704, 33
1 1 -1, 3.648, 56
0 0 3, 3.186, 36
1 1 2, 2.921, 26
2 1 -2, 2.667, 31
0 1 3, 2.566, 38
1 1 3, 2.390, 27
3 1 0, 2.365, 100
3 1 -1, 2.354, 23
0 2 0, 2.165, 93
1 1 -4, 2.085, 81
3 1 -3, 2.002, 45

Record 4
# Sr2CaAu9
Calculated powder X-ray diffraction pattern, a wavelength of 1.5418 Å. Input: a DFT-relaxed cell (PBE, Alexandria).

Cell and atoms:
```
data_Sr2CaAu9
_chemical_formula_sum 'Sr6 Ca3 Au27'
_space_group_name_H-M_alt 'R -3 m'
_space_group_IT_number 166
_space_group_name_Hall '-R 3 2"'
_cell_length_a 5.6820
_cell_length_b 5.6820
_cell_length_c 28.7623
_cell_angle_alpha 90.00
_cell_angle_beta 90.00
_cell_angle_gamma 120.00
loop_
_atom_site_label
_atom_site_fract_x
_atom_site_fract_y
_atom_site_fract_z
Sr1 0.0000 0.0000 0.1402
Ca1 0.0000 0.0000 0.0000
Au1 0.0000 0.0000 0.3327
Au2 0.0000 0.0000 0.5000
Au3 0.0015 0.5008 0.9167
```

Main lines, by angle (2θ = 10–80°):
hkl, d_spacing, I (rel.)
1 0 1, 4.850, 71
0 2 1, 2.451, 25
1 1 6, 2.444, 100
0 0 12, 2.397, 38
0 2 4, 2.328, 17
0 1 11, 2.309, 26
2 0 5, 2.262, 66
0 2 7, 2.111, 37
3 0 6, 1.552, 25
2 2 0, 1.420, 29
2 0 17, 1.394, 27
2 2 12, 1.222, 28